Diffraction record for LiCuP3O9. The PXRD pattern is simulated, not measured: it uses a DFT-relaxed cell (PBE, the Materials Project) and Cu Kα (weighted mean of Kα1 and Kα2).
No peak broadening, texture or thermal motion is included.

Principal peaks in the range 5 to 70 degrees two-theta, by intensity:
2θ 30.56, I = 100.0
2θ 20.30, I = 74.6
2θ 32.57, I = 64.1
2θ 28.18, I = 61.1
2θ 27.54, I = 48.5
2θ 30.96, I = 47.1
2θ 30.27, I = 34.5
2θ 27.10, I = 33.0
2θ 13.07, I = 29.9
2θ 28.58, I = 29.7

Crystal structure
Lattice parameters (Å, degrees): 6.2804 6.8935 7.6821 80.89 88.94 84.07
Sites, in units of the cell vectors:
Li  0.1172  0.0721  0.1772
Li  0.8828  0.9279  0.8228
Cu  0.1933  0.6265  0.1387
Cu  0.8067  0.3735  0.8613
P  0.1585  0.7240  0.5428
P  0.3029  0.3591  0.7704
P  0.3764  0.9172  0.7947
P  0.6236  0.0828  0.2053
P  0.6971  0.6409  0.2296
P  0.8415  0.2760  0.4572
O  0.0437  0.2343  0.3605
O  0.1118  0.3787  0.8953
O  0.1587  0.7767  0.3427
O  0.1900  0.8720  0.9199
O  0.2461  0.4908  0.5817
O  0.3374  0.1499  0.7102
O  0.3523  0.8263  0.6152
O  0.4022  0.1334  0.1396
O  0.4970  0.5745  0.1617
O  0.5030  0.4255  0.8383
O  0.5978  0.8666  0.8604
O  0.6477  0.1737  0.3848
O  0.6626  0.8501  0.2898
O  0.7539  0.5092  0.4183
O  0.8100  0.1280  0.0801
O  0.8413  0.2233  0.6573
O  0.8882  0.6213  0.1047
O  0.9563  0.7657  0.6395

Diffraction record for ZnSn2N2. The PXRD pattern is simulated, not measured: it uses a DFT-relaxed cell (PBE, the Materials Project) and Cu Kα (weighted mean of Kα1 and Kα2).
No peak broadening, texture or thermal motion is included.

Principal peaks in the range 5 to 70 degrees two-theta, by intensity:
2θ 34.80, I = 100.0
2θ 28.84, I = 60.1
2θ 37.96, I = 49.2
2θ 51.39, I = 45.9
2θ 26.59, I = 43.3
2θ 66.54, I = 30.7
2θ 33.33, I = 27.7
2θ 64.07, I = 25.1
2θ 54.77, I = 23.4
2θ 22.05, I = 17.2

Crystal structure
Lattice parameters (Å, degrees): 3.3523 3.3523 8.0642 90.00 90.00 90.00
Sites, in units of the cell vectors:
Zn  0.0000  0.0000  0.0000
Sn  0.5000  0.5000  0.3058
Sn  0.5000  0.5000  0.6942
N  0.0000  0.5000  0.8542
N  0.5000  0.0000  0.1458

Diffraction record for Ti2Zn. The PXRD pattern is simulated, not measured: it uses a DFT-relaxed cell (PBE, the Materials Project) and Cu Kα (weighted mean of Kα1 and Kα2).
No peak broadening, texture or thermal motion is included.

Principal peaks in the range 5 to 70 degrees two-theta, by intensity:
2θ 38.98, I = 100.0
2θ 42.49, I = 38.6
2θ 68.16, I = 17.0
2θ 61.65, I = 11.7
2θ 50.61, I = 11.1
2θ 16.38, I = 4.7
2θ 30.84, I = 3.5
2θ 45.83, I = 1.8
2θ 52.05, I = 1.6
2θ 64.26, I = 0.6

Crystal structure
Lattice parameters (Å, degrees): 5.8140 5.8140 5.8140 150.01 150.01 42.93
Sites, in units of the cell vectors:
Ti  0.1643  0.1643  0.0000
Ti  0.8357  0.8357  0.0000
Zn  0.5000  0.5000  0.0000

Diffraction record for CuSbSe2. The PXRD pattern is simulated, not measured: it uses a DFT-relaxed cell (PBE, the Materials Project) and Cu Kα (weighted mean of Kα1 and Kα2).
No peak broadening, texture or thermal motion is included.

Principal peaks in the range 5 to 70 degrees two-theta, by intensity:
2θ 28.48, I = 100.0
2θ 27.62, I = 67.6
2θ 37.47, I = 66.0
2θ 48.31, I = 59.2
2θ 48.84, I = 50.0
2θ 44.94, I = 42.1
2θ 28.28, I = 40.3
2θ 28.70, I = 36.5
2θ 68.53, I = 36.5
2θ 47.19, I = 34.0

Crystal structure
Lattice parameters (Å, degrees): 6.4567 4.0345 14.9286 90.00 90.00 90.00
Sites, in units of the cell vectors:
Cu  0.2485  0.2500  0.1701
Cu  0.2515  0.7500  0.6701
Cu  0.7485  0.2500  0.3299
Cu  0.7515  0.7500  0.8299
Sb  0.2279  0.2500  0.9426
Sb  0.2721  0.7500  0.4426
Sb  0.7279  0.2500  0.5574
Sb  0.7721  0.7500  0.0574
Se  0.1243  0.7500  0.8242
Se  0.1267  0.2500  0.5963
Se  0.3733  0.7500  0.0963
Se  0.3757  0.2500  0.3242
Se  0.6243  0.7500  0.6758
Se  0.6267  0.2500  0.9037
Se  0.8733  0.7500  0.4037
Se  0.8757  0.2500  0.1758

Diffraction record for PrGe2Ru2. The PXRD pattern is simulated, not measured: it uses a DFT-relaxed cell (PBE, the Materials Project) and Cu Kα (weighted mean of Kα1 and Kα2).
No peak broadening, texture or thermal motion is included.

Principal peaks in the range 5 to 70 degrees two-theta, by intensity:
2θ 34.34, I = 100.0
2θ 33.74, I = 66.9
2θ 41.90, I = 65.0
2θ 54.84, I = 33.0
2θ 63.00, I = 24.2
2θ 60.74, I = 21.3
2θ 46.66, I = 16.9
2θ 49.78, I = 14.6
2θ 67.04, I = 11.8
2θ 56.05, I = 8.9

Crystal structure
Lattice parameters (Å, degrees): 5.9063 5.9063 5.9063 137.17 137.17 62.17
Sites, in units of the cell vectors:
Pr  0.0000  0.0000  0.0000
Ge  0.3661  0.3661  0.0000
Ge  0.6339  0.6339  0.0000
Ru  0.2500  0.7500  0.5000
Ru  0.7500  0.2500  0.5000

Diffraction record for BeGa2O4. The PXRD pattern is simulated, not measured: it uses a DFT-relaxed cell (PBE, the Materials Project) and Cu Kα (weighted mean of Kα1 and Kα2).
No peak broadening, texture or thermal motion is included.

Principal peaks in the range 5 to 70 degrees two-theta, by intensity:
2θ 32.35, I = 100.0
2θ 22.45, I = 66.6
2θ 26.43, I = 60.6
2θ 34.73, I = 54.5
2θ 13.02, I = 34.3
2θ 39.66, I = 29.3
2θ 55.76, I = 23.2
2θ 50.26, I = 20.7
2θ 35.26, I = 16.5
2θ 48.51, I = 14.5

Crystal structure
Lattice parameters (Å, degrees): 7.7845 3.0340 7.8570 90.00 119.16 90.00
Sites, in units of the cell vectors:
Be  0.1752  0.2500  0.2692
Be  0.8248  0.7500  0.7308
Ga  0.2092  0.2500  0.9035
Ga  0.4096  0.7500  0.6600
Ga  0.5904  0.2500  0.3400
Ga  0.7908  0.7500  0.0965
O  0.0584  0.7500  0.2163
O  0.3009  0.7500  0.8302
O  0.3224  0.2500  0.1726
O  0.3239  0.2500  0.5098
O  0.6761  0.7500  0.4902
O  0.6776  0.7500  0.8274
O  0.6991  0.2500  0.1698
O  0.9416  0.2500  0.7837

Diffraction record for TiFeAs. The PXRD pattern is simulated, not measured: it uses a DFT-relaxed cell (PBE, the Materials Project) and Cu Kα (weighted mean of Kα1 and Kα2).
No peak broadening, texture or thermal motion is included.

Principal peaks in the range 5 to 70 degrees two-theta, by intensity:
2θ 41.40, I = 100.0
2θ 50.84, I = 80.7
2θ 37.86, I = 72.1
2θ 49.82, I = 38.5
2θ 43.61, I = 35.9
2θ 28.15, I = 20.9
2θ 69.20, I = 15.9
2θ 29.73, I = 10.6
2θ 24.80, I = 9.1
2θ 58.20, I = 7.3

Crystal structure
Lattice parameters (Å, degrees): 6.3409 6.3409 3.5896 90.00 90.00 120.00
Sites, in units of the cell vectors:
Ti  0.0000  0.4105  0.0000
Ti  0.4105  0.0000  0.0000
Ti  0.5895  0.5895  0.0000
Fe  0.0000  0.7501  0.5000
Fe  0.2499  0.2499  0.5000
Fe  0.7501  0.0000  0.5000
As  0.0000  0.0000  0.0000
As  0.3333  0.6667  0.5000
As  0.6667  0.3333  0.5000